(1)
Structure and computed powder XRD pattern of CsZrBiS4 (a GGA-PBE-relaxed structure; Cu Kα (λ = 1.5418 Å)).

Main lines, by angle (10 to 80 degrees two-theta):
2θ 15.6, rel. 36
2θ 18.0, rel. 100
2θ 22.9, rel. 61
2θ 23.2, rel. 60
2θ 24.5, rel. 93
2θ 29.5, rel. 90
2θ 30.2, rel. 82
2θ 31.4, rel. 42
2θ 36.5, rel. 58
2θ 37.2, rel. 33

Atomic structure:
abc: 7.056 7.266 9.680
angles: 90.00 108.51 90.00
Element x y z (fractional)
Cs  0.237  0.250  0.448
Cs  0.763  0.750  0.552
Zr  0.245  0.750  0.152
Zr  0.755  0.250  0.848
Bi  0.293  0.250  0.953
Bi  0.707  0.750  0.047
S  0.007  0.750  0.915
S  0.044  0.750  0.312
S  0.489  0.501  0.186
S  0.489  0.999  0.186
S  0.511  0.001  0.814
S  0.511  0.499  0.814
S  0.956  0.250  0.688
S  0.993  0.250  0.085

=====

(2)
Structure and computed powder XRD pattern of Tm2Sc2Tl3 (a GGA-PBE-relaxed structure; Cu Kα (λ = 1.5418 Å)).

Main lines, by angle (10 to 80 degrees two-theta):
2θ 20.8, rel. 24
2θ 31.8, rel. 100
2θ 32.0, rel. 78
2θ 32.2, rel. 87
2θ 34.9, rel. 42
2θ 35.0, rel. 42
2θ 35.7, rel. 64
2θ 36.7, rel. 57
2θ 52.9, rel. 22
2θ 54.3, rel. 25

Atomic structure:
abc: 3.458 7.743 7.759
angles: 68.43 77.19 89.87
Element x y z (fractional)
Tm  0.131  0.325  0.236
Tm  0.869  0.675  0.764
Sc  0.427  0.085  0.647
Sc  0.573  0.915  0.353
Tl  0.213  0.790  0.072
Tl  0.500  0.500  0.500
Tl  0.787  0.210  0.928

=====

(3)
Structure and computed powder XRD pattern of CsPu2Cu2S6 (a GGA-PBE-relaxed structure; Cu Kα (λ = 1.5418 Å)).

Main lines, by angle (10 to 80 degrees two-theta):
2θ 13.8, rel. 100
2θ 14.7, rel. 27
2θ 24.0, rel. 50
2θ 24.8, rel. 46
2θ 27.5, rel. 32
2θ 27.7, rel. 66
2θ 27.9, rel. 44
2θ 28.1, rel. 40
2θ 28.3, rel. 28
2θ 37.4, rel. 27

Atomic structure:
abc: 7.193 7.426 7.644
angles: 61.07 62.64 61.06
Element x y z (fractional)
Cs  0.000  0.000  0.000
Pu  0.329  0.331  0.010
Pu  0.671  0.669  0.990
Cu  0.417  0.699  0.566
Cu  0.583  0.301  0.434
S  0.088  0.655  0.756
S  0.346  0.497  0.244
S  0.497  0.913  0.240
S  0.503  0.087  0.760
S  0.654  0.503  0.756
S  0.912  0.345  0.244

=====

(4)
Structure and computed powder XRD pattern of KSrTlI4 (a GGA-PBE-relaxed structure; Cu Kα (λ = 1.5418 Å)).

Main lines, by angle (10 to 80 degrees two-theta):
2θ 19.6, rel. 37
2θ 22.0, rel. 86
2θ 27.8, rel. 100
2θ 28.1, rel. 51
2θ 28.6, rel. 46
2θ 30.1, rel. 28
2θ 39.8, rel. 38
2θ 40.4, rel. 36
2θ 41.4, rel. 46
2θ 66.3, rel. 28

Atomic structure:
abc: 10.000 10.000 10.000
angles: 142.61 142.61 53.91
Element x y z (fractional)
K  0.000  0.000  0.000
Sr  0.368  0.368  0.000
Tl  0.731  0.731  0.000
I  0.190  0.190  0.000
I  0.378  0.878  0.500
I  0.553  0.553  0.000
I  0.878  0.378  0.500